YHo4Zn5: calculated X-ray powder pattern (λ = 1.5418 Å (Cu Kα)), based on a GGA-PBE-relaxed structure.
Intensities are scaled so that the largest is 100.

Atomic structure:
Unit cell a=3.5590 b=3.5590 c=17.7895 alpha=90.00 beta=90.00 gamma=90.00
Space group P4/mmm (No. 123)
One atom of each set of equivalent atoms:
Y 0.0000 0.0000 0.0000
Ho 0.0000 0.0000 0.2011
Ho 0.0000 0.0000 0.4004
Zn 0.5000 0.5000 0.1020
Zn 0.5000 0.5000 0.3006
Zn 0.5000 0.5000 0.5000

Peak list (10 most intense, 2θ from 5° to 70°, most intense first)
index, 2θ/deg, I (rel.)
1 1 0, 35.68, 100.0
2 1 5, 64.10, 35.4
2 0 0, 51.35, 17.5
1 0 0, 25.02, 15.1
2 1 0, 57.95, 6.4
1 1 5, 44.08, 4.6
0 0 2, 9.94, 1.4
1 0 1, 25.52, 0.7
0 0 3, 14.94, 0.6
1 0 2, 26.98, 0.5